No. 1
Structure and computed powder X-ray diffraction pattern of Tb12CeY2 (a PBE-relaxed structure; Cu Kα (weighted mean of Kα1 and Kα2)).
Peak positions follow from Bragg's law for the DFT cell and can differ from measured ones.

The 12 most intense peaks (2θ = 5–70°), by angle:
d_spacing	2θ/deg	intensity
2.960	30.19	39
2.945	30.35	80
2.875	31.11	65
2.809	31.86	100
2.774	32.27	22
2.764	32.39	68
2.759	32.45	44
2.664	33.64	60
2.485	36.14	39
1.783	51.23	24
1.668	55.05	19
1.505	61.60	27

Crystal structure
Cell: 6.654 6.654 24.279 Å, 92.33 92.33 115.17°
Sites, in units of the cell vectors:
Tb 0.049 0.547 0.200
Tb 0.081 0.583 0.329
Tb 0.137 0.640 0.556
Tb 0.145 0.145 0.574
Tb 0.223 0.223 0.865
Tb 0.228 0.741 0.927
Tb 0.259 0.772 0.073
Tb 0.286 0.286 0.134
Tb 0.358 0.358 0.424
Tb 0.360 0.863 0.444
Tb 0.417 0.919 0.671
Tb 0.453 0.951 0.800
Tb 0.547 0.049 0.200
Tb 0.583 0.081 0.329
Tb 0.640 0.137 0.556
Tb 0.642 0.642 0.576
Tb 0.714 0.714 0.866
Tb 0.741 0.228 0.927
Tb 0.772 0.259 0.073
Tb 0.777 0.777 0.135
Tb 0.855 0.855 0.426
Tb 0.863 0.360 0.444
Tb 0.919 0.417 0.671
Tb 0.951 0.453 0.800
Ce 0.307 0.307 0.000
Ce 0.693 0.693 0.000
Y 0.067 0.067 0.270
Y 0.434 0.434 0.730
Y 0.566 0.566 0.270
Y 0.933 0.933 0.730

No. 2
Structure and computed powder X-ray diffraction pattern of NaSm3Tm2Te6 (a PBE-relaxed structure; Cu Kα (weighted mean of Kα1 and Kα2)).
Peak positions follow from Bragg's law for the DFT cell and can differ from measured ones.

The 12 most intense peaks (2θ = 5–70°), by angle:
d_spacing	2θ/deg	intensity
3.115	28.66	100
2.216	40.72	13
2.211	40.81	25
2.196	41.11	25
2.187	41.29	13
1.815	50.27	7
1.798	50.77	6
1.791	51.00	13
1.556	59.38	8
1.400	66.85	6
1.397	66.96	11
1.390	67.38	11

Crystal structure
Cell: 9.884 9.884 8.864 Å, 103.50 103.50 25.56°
Sites, in units of the cell vectors:
Na 0.000 0.000 0.000
Sm 0.000 0.000 0.500
Sm 0.340 0.340 0.180
Sm 0.660 0.660 0.820
Tm 0.334 0.334 0.663
Tm 0.666 0.666 0.337
Te 0.170 0.170 0.090
Te 0.170 0.170 0.575
Te 0.494 0.494 0.752
Te 0.506 0.506 0.248
Te 0.830 0.830 0.425
Te 0.830 0.830 0.910

No. 3
Structure and computed powder X-ray diffraction pattern of U2Cr2C3 (a PBE-relaxed structure; Cu Kα (weighted mean of Kα1 and Kα2)).
Peak positions follow from Bragg's law for the DFT cell and can differ from measured ones.

The 12 most intense peaks (2θ = 5–70°), by angle:
d_spacing	2θ/deg	intensity
4.721	18.80	42
2.922	30.59	100
2.641	33.94	31
2.629	34.11	17
2.362	38.11	69
2.357	38.18	64
1.962	46.28	16
1.863	48.88	18
1.735	52.77	20
1.730	52.92	21
1.526	60.70	17
1.350	69.66	17

Crystal structure
Cell: 11.759 3.044 5.289 Å, 90.00 116.60 90.00°
Sites, in units of the cell vectors:
U 0.092 0.000 0.271
U 0.408 0.500 0.729
U 0.592 0.500 0.271
U 0.908 0.000 0.729
Cr 0.162 0.500 0.825
Cr 0.338 0.000 0.175
Cr 0.662 0.000 0.825
Cr 0.838 0.500 0.175
C 0.000 0.500 0.500
C 0.250 0.000 0.750
C 0.250 0.500 0.250
C 0.500 0.000 0.500
C 0.750 0.000 0.250
C 0.750 0.500 0.750